Entry 1:
Ba3SrMg2Si4O14: simulated powder X-ray diffraction pattern (Cu Kα), based on the PBE geometry in the Materials Project.
No peak broadening, texture or thermal motion is included.

Most intense lines, 5 to 70 degrees two-theta, low angle first:
| 2theta | Rel. int. | hkl |
| --- | --- | --- |
| 16.36 | 22 | 0 0 1 |
| 21.51 | 19 | 2 2 0 |
| 27.07 | 24 | 2 2 -1 |
| 27.23 | 21 | 2 2 1 |
| 29.13 | 100 | 1 3 1 |
| 29.27 | 44 | 3 1 -1 |
| 29.50 | 43 | 3 1 1 |
| 33.08 | 17 | 0 0 2 |
| 41.22 | 21 | 1 3 -2 |
| 48.35 | 19 | 2 4 2 |

Structural model:
a b c (Å): 11.594 11.778 5.417
angles (deg): 90.00 90.49 90.00
Space group Cm (No. 8)
Asymmetric unit:
Ba1 0.000 0.000 0.000 x2
Ba2 0.338 0.166 0.022 x4
Sr1 0.169 0.500 0.003 x2
Mg1 0.088 0.252 0.515 x4
Si1 0.201 0.000 0.556 x2
Si2 0.334 0.365 0.463 x4
Si3 0.481 0.000 0.562 x2
O1 0.036 0.388 0.702 x4
O2 0.147 0.114 0.689 x4
O3 0.198 0.000 0.257 x2
O4 0.220 0.310 0.324 x4
O5 0.332 0.365 0.764 x4
O6 0.332 0.500 0.357 x2
O7 0.341 0.000 0.649 x2
O8 0.450 0.309 0.340 x4
O9 0.488 0.000 0.262 x2

=====

Entry 2:
Ni3S4: simulated powder X-ray diffraction pattern (Cu Kα), based on the PBE geometry in the Materials Project.
No peak broadening, texture or thermal motion is included.

Most intense lines, 5 to 70 degrees two-theta, low angle first:
| 2theta | Rel. int. | hkl |
| --- | --- | --- |
| 16.31 | 13 | 1 1 1 |
| 26.78 | 29 | 2 2 0 |
| 31.51 | 100 | 3 1 1 |
| 38.24 | 46 | 4 0 0 |
| 47.30 | 11 | 4 2 2 |
| 50.36 | 44 | 5 1 1 |
| 55.18 | 81 | 4 4 0 |
| 62.37 | 4 | 6 2 0 |
| 64.95 | 11 | 5 3 3 |
| 69.12 | 9 | 4 4 4 |

Structural model:
a b c (Å): 9.416 9.416 9.416
angles (deg): 90.00 90.00 90.00
Space group Fd-3m (No. 227, origin choice 2)
Asymmetric unit:
Ni1 0.000 0.000 0.000 x16
Ni2 0.125 0.125 0.625 x8
S1 0.008 0.008 0.242 x32

=====

Entry 3:
SiO2: simulated powder X-ray diffraction pattern (Cu Kα), based on the PBE geometry in the Materials Project.
No peak broadening, texture or thermal motion is included.

Most intense lines, 5 to 70 degrees two-theta, low angle first:
| 2theta | Rel. int. | hkl |
| --- | --- | --- |
| 19.85 | 39 | 1 0 0 |
| 20.26 | 70 | 1 1 -1 |
| 20.69 | 27 | 1 0 -2 |
| 21.45 | 54 | 0 0 2 |
| 24.01 | 100 | 0 1 2 |
| 29.10 | 17 | 1 1 1 |
| 29.95 | 25 | 1 2 -2 |
| 30.51 | 12 | 0 2 2 |
| 34.75 | 23 | 2 0 -2 |
| 49.17 | 18 | 0 2 4 |

Structural model:
a b c (Å): 5.168 8.296 9.565
angles (deg): 90.00 120.07 90.00
Space group P2_1/c (No. 14)
Asymmetric unit:
Si1 0.153 0.247 0.107 x4
Si2 0.212 0.605 0.749 x4
O1 0.003 0.623 0.831 x4
O2 0.072 0.707 0.582 x4
O3 0.234 0.084 0.215 x4
O4 0.456 0.174 0.626 x4

=====

Entry 4:
MgI2O6: simulated powder X-ray diffraction pattern (Cu Kα), based on the PBE geometry in the Materials Project.
No peak broadening, texture or thermal motion is included.

Most intense lines, 5 to 70 degrees two-theta, low angle first:
| 2theta | Rel. int. | hkl |
| --- | --- | --- |
| 21.40 | 100 | 1 2 -1 |
| 21.98 | 37 | 1 2 0 |
| 24.09 | 66 | 0 0 2 |
| 25.42 | 61 | 0 1 2 |
| 27.02 | 25 | 0 3 1 |
| 28.37 | 93 | 2 0 -2 |
| 28.52 | 91 | 1 3 0 |
| 31.23 | 34 | 2 1 0 |
| 32.58 | 35 | 1 3 -2 |
| 55.51 | 26 | 3 3 -4 |

Structural model:
a b c (Å): 6.720 11.056 8.372
angles (deg): 90.00 118.05 90.00
Space group P2_1/c (No. 14)
Asymmetric unit:
Mg1 0.135 0.097 0.438 x4
I1 0.224 0.082 0.968 x4
I2 0.355 0.707 0.073 x4
O1 0.018 0.536 0.333 x4
O2 0.047 0.219 0.900 x4
O3 0.147 0.582 0.018 x4
O4 0.368 0.102 0.830 x4
O5 0.414 0.114 0.407 x4
O6 0.446 0.718 0.315 x4

=====

Entry 5:
TmSi2Pt2: simulated powder X-ray diffraction pattern (Cu Kα), based on the PBE geometry in the Materials Project.
No peak broadening, texture or thermal motion is included.

Most intense lines, 5 to 70 degrees two-theta, low angle first:
| 2theta | Rel. int. | hkl |
| --- | --- | --- |
| 18.11 | 18 | 0 0 2 |
| 23.14 | 15 | 1 0 1 |
| 34.87 | 14 | 1 0 3 |
| 35.47 | 100 | 1 1 2 |
| 36.70 | 18 | 0 0 4 |
| 43.29 | 34 | 2 0 0 |
| 48.26 | 10 | 1 1 4 |
| 58.02 | 20 | 2 0 4 |
| 62.89 | 11 | 2 2 0 |
| 65.30 | 16 | 1 1 6 |

Structural model:
a b c (Å): 4.180 4.180 9.795
angles (deg): 90.00 90.00 90.00
Space group I4/mmm (No. 139)
Asymmetric unit:
Tm1 0.000 0.000 0.000 x2
Si1 0.000 0.000 0.383 x4
Pt1 0.000 0.500 0.250 x4

=====

Entry 6:
Mg6AlBO8: simulated powder X-ray diffraction pattern (Cu Kα), based on the PBE geometry in the Materials Project.
No peak broadening, texture or thermal motion is included.

Most intense lines, 5 to 70 degrees two-theta, low angle first:
| 2theta | Rel. int. | hkl |
| --- | --- | --- |
| 21.11 | 2 | 1 0 0 |
| 23.50 | 8 | 1 0 1 |
| 29.59 | 2 | 1 0 2 |
| 36.63 | 12 | 1 1 2 |
| 41.69 | 51 | 0 0 4 |
| 42.98 | 100 | 2 0 0 |
| 49.56 | 2 | 2 1 1 |
| 57.51 | 3 | 1 0 5 |
| 61.43 | 54 | 2 0 4 |
| 62.41 | 28 | 2 2 0 |

Structural model:
a b c (Å): 4.209 4.209 8.666
angles (deg): 90.00 90.00 90.00
Space group P4/mmm (No. 123)
Asymmetric unit:
Mg1 0.000 0.000 0.000 x1
Mg2 0.000 0.500 0.257 x4
Mg3 0.500 0.500 0.000 x1
Al1 0.000 0.000 0.500 x1
B1 0.500 0.500 0.500 x1
O1 0.000 0.000 0.278 x2
O2 0.000 0.500 0.000 x2
O3 0.000 0.500 0.500 x2
O4 0.500 0.500 0.233 x2

=====

Entry 7:
Nd3Mg: simulated powder X-ray diffraction pattern (Cu Kα), based on the PBE geometry in the Materials Project.
No peak broadening, texture or thermal motion is included.

Most intense lines, 5 to 70 degrees two-theta, low angle first:
| 2theta | Rel. int. | hkl |
| --- | --- | --- |
| 17.58 | 19 | 1 0 0 |
| 24.96 | 17 | 1 1 0 |
| 30.69 | 100 | 1 1 1 |
| 35.58 | 50 | 2 0 0 |
| 39.95 | 10 | 2 1 0 |
| 43.95 | 8 | 2 1 1 |
| 51.20 | 36 | 2 2 0 |
| 54.56 | 5 | 3 0 0 |
| 60.89 | 42 | 3 1 1 |
| 63.91 | 12 | 2 2 2 |

Structural model:
a b c (Å): 5.046 5.046 5.046
angles (deg): 90.00 90.00 90.00
Space group Pm-3m (No. 221)
Asymmetric unit:
Nd1 0.000 0.000 0.500 x3
Mg1 0.500 0.500 0.500 x1